(1)
This entry pairs a crystal structure of CeGe2PdRh5 with its theoretical powder diffraction line list. Radiation: CuKα. Structure: the PBE geometry in Alexandria.
Lines closer than 0.1° are merged.

Largest 8 diffraction maxima, in order of falling intensity, 10 to 90 degrees two-theta:
2θ 37.0, 2.430 Å, intensity 100; 2θ 44.8, 2.022 Å, intensity 45; 2θ 43.2, 2.094 Å, intensity 25; 2θ 77.4, 1.232 Å, intensity 22; 2θ 65.2, 1.430 Å, intensity 14; 2θ 60.9, 1.520 Å, intensity 12; 2θ 39.1, 2.306 Å, intensity 11; 2θ 69.4, 1.354 Å, intensity 10

Crystal structure
a = 4.044 Å, b = 4.044 Å, c = 9.223 Å
α = 90.00°, β = 90.00°, γ = 90.00°
Element x y z (fractional)
Ce (0.000, 0.000, 0.000)
Ge (0.500, 0.500, 0.371)
Ge (0.500, 0.500, 0.629)
Pd (0.000, 0.000, 0.500)
Rh (0.000, 0.500, 0.223)
Rh (0.000, 0.500, 0.777)
Rh (0.500, 0.000, 0.223)
Rh (0.500, 0.000, 0.777)
Rh (0.500, 0.500, 0.000)

***

(2)
This entry pairs a crystal structure of RbGe3Br7 with its theoretical powder diffraction line list. Radiation: CuKα. Structure: the PBE geometry in Alexandria.
Lines closer than 0.1° are merged.

Largest 8 diffraction maxima, in order of falling intensity, 10 to 90 degrees two-theta:
2θ 27.6, 3.230 Å, intensity 100; 2θ 28.5, 3.133 Å, intensity 94; 2θ 15.2, 5.817 Å, intensity 57; 2θ 39.1, 2.306 Å, intensity 35; 2θ 41.6, 2.169 Å, intensity 28; 2θ 42.6, 2.122 Å, intensity 28; 2θ 11.9, 7.440 Å, intensity 27; 2θ 37.5, 2.400 Å, intensity 25

Crystal structure
a = 7.579 Å, b = 7.579 Å, c = 7.102 Å
α = 93.33°, β = 93.33°, γ = 79.35°
Element x y z (fractional)
Rb (0.000, 0.000, 0.000)
Ge (0.297, 0.703, 0.500)
Ge (0.500, 0.500, 0.000)
Ge (0.703, 0.297, 0.500)
Br (0.000, 0.000, 0.500)
Br (0.163, 0.568, 0.805)
Br (0.362, 0.362, 0.324)
Br (0.432, 0.837, 0.195)
Br (0.568, 0.163, 0.805)
Br (0.638, 0.638, 0.676)
Br (0.837, 0.432, 0.195)

***

(3)
This entry pairs a crystal structure of Nd3CdSn3 with its theoretical powder diffraction line list. Radiation: CuKα. Structure: the PBE geometry in Alexandria.
Lines closer than 0.1° are merged.

Largest 8 diffraction maxima, in order of falling intensity, 10 to 90 degrees two-theta:
2θ 33.0, 2.718 Å, intensity 100; 2θ 43.9, 2.064 Å, intensity 91; 2θ 28.1, 3.174 Å, intensity 73; 2θ 18.9, 4.708 Å, intensity 45; 2θ 29.0, 3.082 Å, intensity 38; 2θ 40.8, 2.211 Å, intensity 31; 2θ 68.5, 1.370 Å, intensity 24; 2θ 34.1, 2.632 Å, intensity 21

Crystal structure
a = 9.415 Å, b = 9.415 Å, c = 6.348 Å
α = 90.00°, β = 90.00°, γ = 120.00°
Element x y z (fractional)
Nd (0.050, 0.684, 0.250)
Nd (0.316, 0.366, 0.250)
Nd (0.366, 0.050, 0.750)
Nd (0.634, 0.950, 0.250)
Nd (0.684, 0.634, 0.750)
Nd (0.950, 0.316, 0.750)
Cd (0.333, 0.667, 0.750)
Cd (0.667, 0.333, 0.250)
Sn (0.043, 0.697, 0.750)
Sn (0.303, 0.346, 0.750)
Sn (0.346, 0.043, 0.250)
Sn (0.654, 0.957, 0.750)
Sn (0.697, 0.654, 0.250)
Sn (0.957, 0.303, 0.250)

***

(4)
This entry pairs a crystal structure of Sn4Te8Pb3 with its theoretical powder diffraction line list. Radiation: CuKα. Structure: the PBE geometry in Alexandria.
Lines closer than 0.1° are merged.

Largest 8 diffraction maxima, in order of falling intensity, 10 to 90 degrees two-theta:
2θ 27.8, 3.204 Å, intensity 100; 2θ 39.8, 2.266 Å, intensity 52; 2θ 65.1, 1.433 Å, intensity 24; 2θ 49.0, 1.860 Å, intensity 14; 2θ 49.5, 1.840 Å, intensity 14; 2θ 57.5, 1.602 Å, intensity 13; 2θ 39.5, 2.284 Å, intensity 13; 2θ 40.1, 2.247 Å, intensity 13

Crystal structure
a = 9.064 Å, b = 9.064 Å, c = 8.987 Å
α = 119.71°, β = 119.71°, γ = 90.04°
Element x y z (fractional)
Sn (0.000, 0.000, 0.000)
Sn (0.000, 0.000, 0.500)
Sn (0.000, 0.500, 0.000)
Sn (0.500, 0.000, 0.000)
Te (0.237, 0.237, 0.481)
Te (0.239, 0.239, 0.994)
Te (0.241, 0.759, 0.000)
Te (0.247, 0.753, 0.500)
Te (0.753, 0.247, 0.500)
Te (0.759, 0.241, 0.000)
Te (0.761, 0.761, 0.006)
Te (0.763, 0.763, 0.519)
Pb (0.000, 0.500, 0.500)
Pb (0.500, 0.000, 0.500)
Pb (0.500, 0.500, 0.500)

***

(5)
This entry pairs a crystal structure of Li15Zn2In2 with its theoretical powder diffraction line list. Radiation: CuKα. Structure: the PBE geometry in Alexandria.
Lines closer than 0.1° are merged.

Largest 8 diffraction maxima, in order of falling intensity, 10 to 90 degrees two-theta:
2θ 21.6, 4.111 Å, intensity 100; 2θ 29.2, 3.060 Å, intensity 39; 2θ 16.3, 5.451 Å, intensity 31; 2θ 36.6, 2.455 Å, intensity 31; 2θ 42.9, 2.107 Å, intensity 28; 2θ 37.9, 2.373 Å, intensity 28; 2θ 44.1, 2.055 Å, intensity 19; 2θ 38.7, 2.328 Å, intensity 18

Crystal structure
a = 7.378 Å, b = 7.378 Å, c = 7.378 Å
α = 67.72°, β = 67.72°, γ = 67.72°
Element x y z (fractional)
Li (0.000, 0.000, 0.500)
Li (0.000, 0.296, 0.704)
Li (0.000, 0.500, 0.000)
Li (0.000, 0.704, 0.296)
Li (0.189, 0.564, 0.564)
Li (0.296, 0.000, 0.704)
Li (0.296, 0.704, 0.000)
Li (0.436, 0.436, 0.811)
Li (0.436, 0.811, 0.436)
Li (0.500, 0.000, 0.000)
Li (0.564, 0.189, 0.564)
Li (0.564, 0.564, 0.189)
Li (0.704, 0.000, 0.296)
Li (0.704, 0.296, 0.000)
Li (0.811, 0.436, 0.436)
Zn (0.088, 0.088, 0.088)
Zn (0.912, 0.912, 0.912)
In (0.284, 0.284, 0.284)
In (0.716, 0.716, 0.716)

***

(6)
This entry pairs a crystal structure of ZnFeBr2 with its theoretical powder diffraction line list. Radiation: CuKα. Structure: the PBE geometry in Alexandria.
Lines closer than 0.1° are merged.

Largest 8 diffraction maxima, in order of falling intensity, 10 to 90 degrees two-theta:
2θ 42.7, 2.115 Å, intensity 100; 2θ 12.3, 7.180 Å, intensity 80; 2θ 36.5, 2.460 Å, intensity 44; 2θ 29.0, 3.075 Å, intensity 39; 2θ 26.5, 3.360 Å, intensity 32; 2θ 23.0, 3.864 Å, intensity 30; 2θ 45.2, 2.006 Å, intensity 22; 2θ 31.9, 2.802 Å, intensity 21

Crystal structure
a = 7.652 Å, b = 7.652 Å, c = 7.652 Å
α = 153.90°, β = 149.61°, γ = 40.48°
Element x y z (fractional)
Zn (0.000, 0.000, 0.000)
Fe (0.500, 0.500, 0.000)
Br (0.364, 0.864, 0.500)
Br (0.636, 0.136, 0.500)

***

(7)
This entry pairs a crystal structure of Er2Fe7 with its theoretical powder diffraction line list. Radiation: CuKα. Structure: the PBE geometry in Alexandria.
Lines closer than 0.1° are merged.

Largest 8 diffraction maxima, in order of falling intensity, 10 to 90 degrees two-theta:
2θ 42.5, 2.125 Å, intensity 100; 2θ 35.8, 2.507 Å, intensity 53; 2θ 32.3, 2.772 Å, intensity 48; 2θ 41.7, 2.167 Å, intensity 35; 2θ 34.3, 2.615 Å, intensity 31; 2θ 69.0, 1.361 Å, intensity 22; 2θ 45.3, 2.001 Å, intensity 20; 2θ 75.9, 1.254 Å, intensity 20

Crystal structure
a = 12.351 Å, b = 12.351 Å, c = 12.351 Å
α = 23.42°, β = 23.42°, γ = 23.42°
Element x y z (fractional)
Er (0.051, 0.051, 0.051)
Er (0.149, 0.149, 0.149)
Er (0.851, 0.851, 0.851)
Er (0.949, 0.949, 0.949)
Fe (0.000, 0.500, 0.500)
Fe (0.110, 0.609, 0.609)
Fe (0.279, 0.279, 0.279)
Fe (0.387, 0.387, 0.387)
Fe (0.391, 0.391, 0.890)
Fe (0.391, 0.890, 0.391)
Fe (0.500, 0.000, 0.500)
Fe (0.500, 0.500, 0.000)
Fe (0.500, 0.500, 0.500)
Fe (0.609, 0.110, 0.609)
Fe (0.609, 0.609, 0.110)
Fe (0.613, 0.613, 0.613)
Fe (0.721, 0.721, 0.721)
Fe (0.890, 0.391, 0.391)

***

(8)
This entry pairs a crystal structure of Tm6Ga17Pt5 with its theoretical powder diffraction line list. Radiation: CuKα. Structure: the PBE geometry in Alexandria.
Lines closer than 0.1° are merged.

Largest 8 diffraction maxima, in order of falling intensity, 10 to 90 degrees two-theta:
2θ 35.6, 2.519 Å, intensity 100; 2θ 42.9, 2.110 Å, intensity 37; 2θ 35.1, 2.560 Å, intensity 17; 2θ 44.6, 2.030 Å, intensity 17; 2θ 14.5, 6.091 Å, intensity 14; 2θ 28.8, 3.105 Å, intensity 12; 2θ 73.8, 1.284 Å, intensity 12; 2θ 63.6, 1.463 Å, intensity 12

Crystal structure
a = 8.135 Å, b = 8.135 Å, c = 15.672 Å
α = 101.43°, β = 101.43°, γ = 30.07°
Element x y z (fractional)
Tm (0.088, 0.088, 0.412)
Tm (0.250, 0.250, 0.251)
Tm (0.408, 0.408, 0.090)
Tm (0.592, 0.592, 0.910)
Tm (0.750, 0.750, 0.749)
Tm (0.912, 0.912, 0.588)
Ga (0.000, 0.000, 0.000)
Ga (0.044, 0.044, 0.176)
Ga (0.104, 0.104, 0.770)
Ga (0.178, 0.178, 0.044)
Ga (0.230, 0.230, 0.894)
Ga (0.271, 0.271, 0.602)
Ga (0.325, 0.325, 0.455)
Ga (0.396, 0.396, 0.729)
Ga (0.455, 0.455, 0.324)
Ga (0.545, 0.545, 0.676)
Ga (0.604, 0.604, 0.271)
Ga (0.675, 0.675, 0.545)
Ga (0.729, 0.729, 0.398)
Ga (0.770, 0.770, 0.106)
Ga (0.822, 0.822, 0.956)
Ga (0.896, 0.896, 0.230)
Ga (0.956, 0.956, 0.824)
Pt (0.107, 0.107, 0.606)
Pt (0.392, 0.392, 0.892)
Pt (0.500, 0.500, 0.500)
Pt (0.608, 0.608, 0.108)
Pt (0.893, 0.893, 0.394)